(1)
This entry pairs a crystal structure of Cs2Hg2Se2S with its simulated X-ray powder pattern. Radiation: Cu Kα. Structure: a cell relaxed with GGA-PBE.

Structural model:
abc: 15.3655 4.4746 9.7183
angles: 90.00 127.39 90.00
Space group C2/m (No. 12)
Unique sites:
1 Cs 0.0214 0.0000 0.2887
2 Hg 0.2062 0.5000 0.1745
3 Se 0.1815 0.5000 0.7090
4 S 0.0000 0.5000 0.0000

Principal peaks in the range 10° ≤ 2θ ≤ 90°, by angle:
- 2θ = 21.9°, I 42.8, (1 1 -1)
- 2θ = 23.0°, I 71.0, (0 0 2)
- 2θ = 23.8°, I 93.2, (4 0 -2)
- 2θ = 27.9°, I 80.2, (1 1 -2)
- 2θ = 28.3°, I 63.3, (2 0 -3)
- 2θ = 29.7°, I 100.0, (3 1 0)
- 2θ = 40.3°, I 37.8, (0 2 0)
- 2θ = 45.8°, I 47.0, (3 1 2)

(2)
This entry pairs a crystal structure of Zr4Au2O with its simulated X-ray powder pattern. Radiation: Cu Kα. Structure: a cell relaxed with GGA-PBE.

Structural model:
abc: 4.3510 4.3510 14.4660
angles: 90.00 90.00 90.00
Space group I4/mmm (No. 139)
Unique sites:
1 Zr 0.0000 0.0000 0.1759
2 Zr 0.0000 0.5000 0.0000
3 Au 0.0000 0.0000 0.3644
4 O 0.0000 0.0000 0.0000

Principal peaks in the range 10° ≤ 2θ ≤ 90°, by angle:
- 2θ = 21.3°, I 28.9, (1 0 1)
- 2θ = 29.0°, I 48.7, (1 1 0)
- 2θ = 31.6°, I 51.3, (1 1 2)
- 2θ = 37.3°, I 51.9, (0 0 6)
- 2θ = 38.4°, I 100.0, (1 1 4)
- 2θ = 41.5°, I 67.3, (2 0 0)
- 2θ = 57.0°, I 41.3, (2 0 6)
- 2θ = 73.7°, I 30.0, (3 1 4)

(3)
This entry pairs a crystal structure of Rb2CeH2S4 with its simulated X-ray powder pattern. Radiation: Cu Kα. Structure: a cell relaxed with GGA-PBE.

Structural model:
abc: 15.8949 4.0822 7.7464
angles: 90.00 111.05 90.00
Space group C2/m (No. 12)
Unique sites:
1 Rb 0.1355 0.0000 0.0885
2 Ce 0.0000 0.0000 0.5000
3 H 0.2196 0.0000 0.5508
4 S 0.0114 0.5000 0.2761
5 S 0.1906 0.0000 0.6949

Principal peaks in the range 10° ≤ 2θ ≤ 90°, by angle:
- 2θ = 11.9°, I 51.3, (2 0 0)
- 2θ = 20.0°, I 39.0, (2 0 1)
- 2θ = 22.6°, I 100.0, (4 0 -1)
- 2θ = 23.2°, I 52.7, (2 0 -2)
- 2θ = 30.8°, I 40.4, (4 0 1)
- 2θ = 32.0°, I 90.6, (1 1 -2)
- 2θ = 33.5°, I 44.2, (3 1 1)
- 2θ = 35.8°, I 39.9, (5 1 -1)

(4)
This entry pairs a crystal structure of Ca3Sb2H2 with its simulated X-ray powder pattern. Radiation: Cu Kα. Structure: a cell relaxed with GGA-PBE.

Structural model:
abc: 6.4909 6.8254 7.8189
angles: 90.00 111.28 90.00
Space group P2_1/c (No. 14)
Unique sites:
1 Ca 0.0000 0.0000 0.0000
2 Ca 0.4061 0.1813 0.8049
3 Sb 0.1721 0.5682 0.9353
4 H 0.3651 0.0845 0.0763

Principal peaks in the range 10° ≤ 2θ ≤ 90°, by angle:
- 2θ = 17.8°, I 100.0, (0 1 1)
- 2θ = 26.9°, I 51.8, (1 1 -2)
- 2θ = 30.1°, I 36.1, (1 2 0)
- 2θ = 30.5°, I 90.2, (2 1 -1)
- 2θ = 33.0°, I 68.3, (1 0 2)
- 2θ = 36.1°, I 31.6, (0 2 2)
- 2θ = 36.9°, I 40.0, (1 1 -3)
- 2θ = 42.5°, I 34.8, (1 3 0)

(5)
This entry pairs a crystal structure of Bi6O5F8 with its simulated X-ray powder pattern. Radiation: Cu Kα. Structure: a cell relaxed with GGA-PBE.

Structural model:
abc: 4.0253 5.8858 12.2746
angles: 89.98 89.51 89.56
Space group P1 (No. 1)
Unique sites:
1 Bi 0.0000 0.0000 0.0000
2 Bi 0.0055 0.0169 0.6793
3 Bi 0.0688 0.0170 0.3685
4 Bi 0.4904 0.4635 0.1770
5 Bi 0.4982 0.4314 0.8447
6 Bi 0.5063 0.4494 0.5118
7 O 0.4764 0.2826 0.3466
8 O 0.4942 0.2169 0.0057
9 O 0.5000 0.2122 0.6910
10 O 0.9895 0.2338 0.5273
11 O 0.9988 0.2220 0.8428
12 F 0.0048 0.7370 0.8551
13 F 0.4539 0.9135 0.4918
14 F 0.4813 0.8058 0.2724
15 F 0.4959 0.7295 0.0142
16 F 0.5247 0.6971 0.6878
17 F 0.9782 0.6366 0.4332
18 F 0.9912 0.6441 0.1512
19 F 0.9992 0.1928 0.1781

Principal peaks in the range 10° ≤ 2θ ≤ 90°, by angle:
- 2θ = 26.5°, I 100.0, (0 1 -3)
- 2θ = 26.7°, I 46.3, (1 1 0)
- 2θ = 26.9°, I 49.3, (1 -1 0)
- 2θ = 30.4°, I 24.0, (0 2 0)
- 2θ = 31.0°, I 24.8, (1 0 3)
- 2θ = 31.3°, I 27.5, (1 0 -3)
- 2θ = 44.1°, I 32.8, (1 -2 3)
- 2θ = 44.3°, I 31.6, (-1 2 3)

(6)
This entry pairs a crystal structure of Pa2Pd3O8 with its simulated X-ray powder pattern. Radiation: Cu Kα. Structure: a cell relaxed with GGA-PBE.

Structural model:
abc: 3.9389 6.2438 7.8735
angles: 110.28 92.70 104.30
Space group P-1 (No. 2)
Unique sites:
1 Pa 0.0143 0.4884 0.2360
2 Pd 0.0000 0.0000 0.5000
3 Pd 0.4930 0.0045 0.2344
4 O 0.1240 0.7314 0.5614
5 O 0.1296 0.7176 0.0541
6 O 0.3771 0.2604 0.7026
7 O 0.4065 0.2942 0.2027

Principal peaks in the range 10° ≤ 2θ ≤ 90°, by angle:
- 2θ = 23.6°, I 39.1, (0 1 -2)
- 2θ = 24.4°, I 100.0, (1 -1 0)
- 2θ = 31.8°, I 34.3, (0 2 0)
- 2θ = 32.1°, I 24.7, (1 1 0)
- 2θ = 32.2°, I 24.1, (0 2 -2)
- 2θ = 33.0°, I 30.4, (1 -1 2)
- 2θ = 34.3°, I 39.2, (1 1 -2)
- 2θ = 36.5°, I 29.6, (-1 1 2)

(7)
This entry pairs a crystal structure of LaMg2Cd4Ag with its simulated X-ray powder pattern. Radiation: Cu Kα. Structure: a cell relaxed with GGA-PBE.

Structural model:
abc: 4.8689 4.8689 27.6195
angles: 90.00 90.00 120.00
Space group R-3m (No. 166, hexagonal axes)
Unique sites:
1 La 0.0000 0.0000 0.0000
2 Mg 0.0000 0.0000 0.2452
3 Cd 0.0000 0.0000 0.1298
4 Cd 0.0000 0.0000 0.3943
5 Ag 0.0000 0.0000 0.5000

Principal peaks in the range 10° ≤ 2θ ≤ 90°, by angle:
- 2θ = 22.0°, I 37.2, (0 1 2)
- 2θ = 31.0°, I 13.4, (1 0 7)
- 2θ = 33.5°, I 96.0, (0 1 8)
- 2θ = 36.9°, I 100.0, (1 1 0)
- 2θ = 39.0°, I 17.8, (1 0 10)
- 2θ = 50.7°, I 28.8, (2 0 8)
- 2θ = 64.4°, I 27.3, (1 2 8)
- 2θ = 66.5°, I 16.7, (3 0 0)

(8)
This entry pairs a crystal structure of Ca3Si2Ge3 with its simulated X-ray powder pattern. Radiation: Cu Kα. Structure: a cell relaxed with GGA-PBE.

Structural model:
abc: 4.4802 11.0042 14.3369
angles: 90.00 90.00 90.00
Space group Cmcm (No. 63)
Unique sites:
1 Ca 0.0000 0.0595 0.1138
2 Ca 0.0000 0.3392 0.2500
3 Si 0.0000 0.2255 0.6105
4 Ge 0.0000 0.3530 0.0373
5 Ge 0.0000 0.3778 0.7500

Principal peaks in the range 10° ≤ 2θ ≤ 90°, by angle:
- 2θ = 24.7°, I 21.3, (0 2 3)
- 2θ = 31.5°, I 73.4, (1 3 0)
- 2θ = 33.0°, I 100.0, (1 1 4)
- 2θ = 36.8°, I 61.0, (1 3 3)
- 2θ = 40.3°, I 52.0, (2 0 0)
- 2θ = 40.5°, I 32.9, (1 3 4)
- 2θ = 41.4°, I 29.6, (0 4 4)
- 2θ = 59.1°, I 19.9, (2 4 4)

(9)
This entry pairs a crystal structure of NaLi2GeSe4 with its simulated X-ray powder pattern. Radiation: Cu Kα. Structure: a cell relaxed with GGA-PBE.

Structural model:
abc: 7.0110 7.0110 7.8163
angles: 90.00 90.00 90.00
Space group I-42m (No. 121)
Unique sites:
1 Na 0.0000 0.0000 0.0000
2 Li 0.0000 0.5000 0.2500
3 Ge 0.0000 0.0000 0.5000
4 Se 0.1986 0.1986 0.6718

Principal peaks in the range 10° ≤ 2θ ≤ 90°, by angle:
- 2θ = 17.0°, I 55.0, (1 0 1)
- 2θ = 17.9°, I 37.0, (1 1 0)
- 2θ = 29.1°, I 100.0, (1 1 2)
- 2θ = 30.7°, I 68.6, (2 1 1)
- 2θ = 34.4°, I 52.1, (2 0 2)
- 2θ = 36.2°, I 41.4, (2 2 0)
- 2θ = 47.1°, I 35.2, (3 1 2)
- 2θ = 55.3°, I 34.0, (4 1 1)

(10)
This entry pairs a crystal structure of Pa2PPd3 with its simulated X-ray powder pattern. Radiation: Cu Kα. Structure: a cell relaxed with GGA-PBE.

Structural model:
abc: 6.6928 8.8601 15.4629
angles: 90.00 90.00 90.00
Space group Fmmm (No. 69)
Unique sites:
1 Pa 0.2256 0.0000 0.0000
2 Pa 0.2500 0.2500 0.2500
3 P 0.0000 0.0000 0.3328
4 Pd 0.0000 0.0000 0.1730
5 Pd 0.0000 0.2343 0.4132

Principal peaks in the range 10° ≤ 2θ ≤ 90°, by angle:
- 2θ = 23.1°, I 18.9, (0 2 2)
- 2θ = 35.5°, I 100.0, (2 0 4)
- 2θ = 40.5°, I 38.9, (0 2 6)
- 2θ = 40.7°, I 18.8, (0 4 0)
- 2θ = 54.9°, I 17.0, (4 0 0)
- 2θ = 55.1°, I 18.7, (2 4 4)
- 2θ = 70.4°, I 22.9, (4 2 6)
- 2θ = 70.5°, I 15.7, (4 4 0)

(11)
This entry pairs a crystal structure of Ac3YAl2O9 with its simulated X-ray powder pattern. Radiation: Cu Kα. Structure: a cell relaxed with GGA-PBE.

Structural model:
abc: 5.6636 5.6636 7.1372
angles: 90.00 90.00 120.00
Space group P-3m1 (No. 164)
Unique sites:
1 Ac 0.0000 0.0000 0.0000
2 Ac 0.3333 0.6667 0.6984
3 Y 0.0000 0.0000 0.5000
4 Al 0.3333 0.6667 0.1640
5 O 0.0000 0.5000 0.0000
6 O 0.1750 0.3501 0.3088

Principal peaks in the range 10° ≤ 2θ ≤ 90°, by angle:
- 2θ = 22.0°, I 86.3, (1 0 1)
- 2θ = 31.0°, I 100.0, (0 1 2)
- 2θ = 31.6°, I 94.5, (1 1 0)
- 2θ = 38.8°, I 42.8, (0 2 1)
- 2θ = 44.8°, I 56.2, (2 0 2)
- 2θ = 50.9°, I 21.8, (2 1 1)
- 2θ = 55.9°, I 38.7, (1 2 2)
- 2θ = 56.3°, I 19.3, (3 0 0)

(12)
This entry pairs a crystal structure of Y2Ga3Co with its simulated X-ray powder pattern. Radiation: Cu Kα. Structure: a cell relaxed with GGA-PBE.

Structural model:
abc: 3.6616 4.2860 7.5479
angles: 90.00 90.00 90.00
Space group Pmm2 (No. 25)
Unique sites:
1 Y 0.0000 0.0000 0.0000
2 Y 0.0000 0.5000 0.4617
3 Ga 0.5000 0.0000 0.6301
4 Ga 0.5000 0.5000 0.1526
5 Ga 0.5000 0.5000 0.8124
6 Co 0.5000 0.0000 0.3046

Principal peaks in the range 10° ≤ 2θ ≤ 90°, by angle:
- 2θ = 34.1°, I 48.7, (1 0 2)
- 2θ = 34.3°, I 100.0, (1 1 1)
- 2θ = 41.6°, I 56.1, (0 1 3)
- 2θ = 42.2°, I 29.0, (0 2 0)
- 2θ = 49.8°, I 17.6, (2 0 0)
- 2θ = 55.3°, I 23.4, (1 2 2)
- 2θ = 66.9°, I 26.0, (2 1 3)
- 2θ = 67.3°, I 13.7, (2 2 0)

(13)
This entry pairs a crystal structure of Hf10SiMo3 with its simulated X-ray powder pattern. Radiation: Cu Kα. Structure: a cell relaxed with GGA-PBE.

Structural model:
abc: 8.6965 8.6965 8.7560
angles: 90.00 90.00 120.00
Space group P6_3/mmc (No. 194)
Unique sites:
1 Hf 0.0000 0.0000 0.0000
2 Hf 0.0761 0.5381 0.2500
3 Hf 0.2005 0.4009 0.5446
4 Si 0.3333 0.6667 0.7500
5 Mo 0.1151 0.2302 0.2500

Principal peaks in the range 10° ≤ 2θ ≤ 90°, by angle:
- 2θ = 31.4°, I 51.6, (2 0 2)
- 2θ = 37.3°, I 46.1, (3 0 1)
- 2θ = 37.7°, I 100.0, (2 1 2)
- 2θ = 39.0°, I 28.7, (2 0 3)
- 2θ = 41.5°, I 24.2, (2 2 0)
- 2θ = 62.5°, I 24.1, (3 2 3)
- 2θ = 64.9°, I 23.8, (3 0 5)
- 2θ = 65.5°, I 25.3, (5 0 2)